(1)
Starting from a structure optimized by DFT (GGA-PBE), the PXRD pattern of NaS2Cl2O6 was simulated for Cu Kα (weighted mean of Kα1 and Kα2).

Atomic structure:
Lattice parameters (Å, degrees): 6.139 6.139 6.748 90.00 90.00 120.00
Positions (direct):
Na: 0.000 0.000 0.000
S: 0.333 0.667 0.773
S: 0.667 0.333 0.227
Cl: 0.333 0.667 0.468
Cl: 0.667 0.333 0.532
O: 0.201 0.402 0.828
O: 0.201 0.799 0.828
O: 0.402 0.201 0.172
O: 0.598 0.799 0.828
O: 0.799 0.201 0.172
O: 0.799 0.598 0.172

Principal peaks in the range 2θ from 10° to 80°, by intensity:
21.28 deg, I 100; 29.09 deg, I 44; 16.68 deg, I 27; 31.40 deg, I 24; 43.70 deg, I 17; 47.20 deg, I 16; 53.36 deg, I 12; 33.72 deg, I 11; 60.31 deg, I 9; 40.09 deg, I 7

(2)
Starting from a structure optimized by DFT (GGA-PBE), the PXRD pattern of Na5S3ClO12 was simulated for Cu Kα (weighted mean of Kα1 and Kα2).

Atomic structure:
Lattice parameters (Å, degrees): 10.063 10.063 6.695 90.00 90.00 120.00
Positions (direct):
Na: 0.024 0.755 0.250
Na: 0.245 0.268 0.250
Na: 0.268 0.024 0.750
Na: 0.333 0.667 0.510
Na: 0.333 0.667 0.990
Na: 0.667 0.333 0.010
Na: 0.667 0.333 0.490
Na: 0.732 0.976 0.250
Na: 0.755 0.732 0.750
Na: 0.976 0.245 0.750
S: 0.025 0.407 0.250
S: 0.381 0.975 0.250
S: 0.407 0.381 0.750
S: 0.593 0.619 0.250
S: 0.619 0.025 0.750
S: 0.975 0.593 0.750
Cl: 0.000 0.000 0.000
Cl: 0.000 0.000 0.500
O: 0.072 0.351 0.071
O: 0.072 0.351 0.429
O: 0.120 0.579 0.250
O: 0.140 0.645 0.750
O: 0.280 0.928 0.071
O: 0.280 0.928 0.429
O: 0.351 0.280 0.571
O: 0.351 0.280 0.929
O: 0.355 0.495 0.750
O: 0.421 0.541 0.250
O: 0.459 0.880 0.250
O: 0.495 0.140 0.250
O: 0.505 0.860 0.750
O: 0.541 0.120 0.750
O: 0.579 0.459 0.750
O: 0.645 0.505 0.250
O: 0.649 0.720 0.071
O: 0.649 0.720 0.429
O: 0.720 0.072 0.571
O: 0.720 0.072 0.929
O: 0.860 0.355 0.250
O: 0.880 0.421 0.750
O: 0.928 0.649 0.571
O: 0.928 0.649 0.929

Principal peaks in the range 2θ from 10° to 80°, by intensity:
30.24 deg, I 100; 30.78 deg, I 90; 32.12 deg, I 68; 22.10 deg, I 63; 45.08 deg, I 32; 49.32 deg, I 27; 38.34 deg, I 25; 20.38 deg, I 21; 26.63 deg, I 21; 37.20 deg, I 20

(3)
Starting from a structure optimized by DFT (GGA-PBE), the PXRD pattern of Na2Y3Te4Cl3O12 was simulated for Cu Kα (weighted mean of Kα1 and Kα2).

Atomic structure:
Lattice parameters (Å, degrees): 12.371 12.371 16.809 132.19 132.19 26.15
Positions (direct):
Na: 0.044 0.628 0.934
Na: 0.372 0.956 0.566
Na: 0.628 0.044 0.434
Na: 0.956 0.372 0.066
Y: 0.244 0.756 0.250
Y: 0.251 0.746 0.914
Y: 0.254 0.749 0.586
Y: 0.746 0.251 0.414
Y: 0.749 0.254 0.086
Y: 0.756 0.244 0.750
Te: 0.069 0.667 0.305
Te: 0.174 0.556 0.597
Te: 0.333 0.931 0.195
Te: 0.444 0.826 0.903
Te: 0.556 0.174 0.097
Te: 0.667 0.069 0.805
Te: 0.826 0.444 0.403
Te: 0.931 0.333 0.695
Cl: 0.000 0.500 0.000
Cl: 0.009 0.500 0.337
Cl: 0.500 0.000 0.500
Cl: 0.500 0.009 0.837
Cl: 0.500 0.991 0.163
Cl: 0.991 0.500 0.663
O: 0.007 0.860 0.289
O: 0.017 0.130 0.386
O: 0.065 0.103 0.076
O: 0.103 0.065 0.576
O: 0.130 0.017 0.886
O: 0.140 0.993 0.211
O: 0.361 0.496 0.743
O: 0.375 0.488 0.411
O: 0.391 0.440 0.075
O: 0.440 0.391 0.575
O: 0.488 0.375 0.911
O: 0.496 0.361 0.243
O: 0.504 0.639 0.757
O: 0.512 0.625 0.089
O: 0.560 0.609 0.425
O: 0.609 0.560 0.925
O: 0.625 0.512 0.589
O: 0.639 0.504 0.257
O: 0.860 0.007 0.789
O: 0.870 0.983 0.114
O: 0.897 0.935 0.424
O: 0.935 0.897 0.924
O: 0.983 0.870 0.614
O: 0.993 0.140 0.711

Principal peaks in the range 2θ from 10° to 80°, by intensity:
30.36 deg, I 100; 30.60 deg, I 95; 31.97 deg, I 50; 10.13 deg, I 41; 19.57 deg, I 40; 45.84 deg, I 30; 53.23 deg, I 18; 23.40 deg, I 17; 23.60 deg, I 15; 24.76 deg, I 13